1.
# Rb2ZnHg
Theoretical powder XRD pattern, copper Kα. Input: the PBE geometry in OQMD.
Neutral-atom scattering factors, no anomalous dispersion.

Crystal structure
```
data_Rb2ZnHg
_chemical_formula_sum 'Rb4 Zn2 Hg2'
_space_group_name_H-M_alt 'P -1'
_space_group_IT_number 2
_space_group_name_Hall '-P 1'
_cell_length_a 6.7949
_cell_length_b 6.9626
_cell_length_c 7.4518
_cell_angle_alpha 103.66
_cell_angle_beta 104.28
_cell_angle_gamma 93.38
loop_
_atom_site_label
_atom_site_fract_x
_atom_site_fract_y
_atom_site_fract_z
_atom_site_occupancy
Rb1 0.1607 0.2457 0.4745 1
Rb2 0.2929 0.6588 0.1495 1
Zn1 0.1942 0.0844 0.9676 1
Hg1 0.4098 0.8239 0.7455 1
```

Largest 12 diffraction maxima, sorted by position, 2θ from 15° to 90°:
| two_theta | I/Imax |
| --- | --- |
| 15.8 | 57 |
| 25.5 | 83 |
| 26.3 | 100 |
| 26.6 | 32 |
| 27.4 | 76 |
| 28.9 | 66 |
| 30.0 | 34 |
| 31.5 | 70 |
| 31.9 | 46 |
| 32.1 | 46 |
| 32.5 | 55 |
| 33.3 | 57 |


2.
# ReSn2Hg
Theoretical powder XRD pattern, copper Kα. Input: the PBE geometry in OQMD.
Neutral-atom scattering factors, no anomalous dispersion.

Crystal structure
```
data_ReSn2Hg
_chemical_formula_sum 'Re4 Sn8 Hg4'
_space_group_name_H-M_alt 'F -4 3 m'
_space_group_IT_number 216
_space_group_name_Hall 'F -4 2 3'
_cell_length_a 6.9990
_cell_length_b 6.9990
_cell_length_c 6.9990
_cell_angle_alpha 90.00
_cell_angle_beta 90.00
_cell_angle_gamma 90.00
loop_
_atom_site_label
_atom_site_fract_x
_atom_site_fract_y
_atom_site_fract_z
_atom_site_occupancy
Re1 0.0000 0.0000 0.0000 1
Sn1 0.0000 0.0000 0.5000 1
Sn2 0.2500 0.2500 0.7500 1
Hg1 0.2500 0.2500 0.2500 1
```

Largest 10 diffraction maxima, sorted by position, 2θ from 15° to 90°:
| two_theta | I/Imax |
| --- | --- |
| 22.0 | 6 |
| 36.3 | 100 |
| 42.9 | 3 |
| 52.3 | 18 |
| 57.4 | 1 |
| 65.3 | 37 |
| 69.8 | 1 |
| 77.1 | 12 |
| 81.3 | 1 |
| 88.3 | 18 |


3.
# HgS2
Theoretical powder XRD pattern, copper Kα. Input: the PBE geometry in OQMD.
Neutral-atom scattering factors, no anomalous dispersion.

Crystal structure
a = 7.8128 Å, b = 7.8128 Å, c = 7.8128 Å
α = 90.00°, β = 90.00°, γ = 90.00°
Space group Fd-3m (No. 227, origin choice 2)
Inequivalent atoms, fractional coordinates:
Hg 0.1250 0.1250 0.1250 (multiplicity 8)
S 0.0000 0.0000 0.5000 (multiplicity 16)

Largest 12 diffraction maxima, sorted by position, 2θ from 15° to 90°:
| two_theta | I/Imax |
| --- | --- |
| 19.7 | 61 |
| 32.4 | 100 |
| 38.2 | 98 |
| 46.5 | 9 |
| 50.9 | 18 |
| 57.8 | 39 |
| 61.7 | 32 |
| 67.9 | 21 |
| 71.4 | 13 |
| 77.2 | 17 |
| 80.6 | 11 |
| 89.6 | 8 |